Diffraction record for Tb2Nd13. The PXRD pattern is simulated, not measured: it uses a cell relaxed with PBE and copper Kα.
No peak broadening, texture or thermal motion is included.

Cell and atoms:
Cell lengths 7.2297, 7.2297, 35.4798 Å; angles 90.00, 90.00, 120.00 degrees
Space group R-3m (No. 166, hexagonal axes)
Unique sites:
1 Tb 0.0000 0.0000 0.2061 (multiplicity 6)
2 Nd 0.0000 0.0000 0.0000 (multiplicity 3)
3 Nd 0.0025 0.5012 0.7903 (multiplicity 18)
4 Nd 0.0026 0.5013 0.9550 (multiplicity 18)

Principal peaks in the range 2θ from 10° to 90°, sorted by position:
index  2θ (°)  I_rel
0 2 1  28.63  79
0 0 12  30.25  100
2 0 5  31.22  86
0 2 7  33.65  65
2 2 0  50.49  52
2 2 12  59.98  60

***

Diffraction record for Tb6Nd7. The PXRD pattern is simulated, not measured: it uses a cell relaxed with PBE and copper Kα.
No peak broadening, texture or thermal motion is included.

Cell and atoms:
Cell lengths 6.6832, 6.6832, 34.6395 Å; angles 90.00, 90.00, 120.00 degrees
Space group R-3m (No. 166, hexagonal axes)
Unique sites:
1 Tb 0.0000 0.0000 0.0455 (multiplicity 6)
2 Tb 0.0000 0.0000 0.1477 (multiplicity 6)
3 Tb 0.0000 0.0000 0.3349 (multiplicity 6)
4 Nd 0.0000 0.0000 0.5000 (multiplicity 3)
5 Nd 0.0127 0.5063 0.9124 (multiplicity 18)

Principal peaks in the range 2θ from 10° to 90°, sorted by position:
index  2θ (°)  I_rel
1 1 0  26.68  32
1 0 10  30.07  29
0 0 12  30.95  100
0 1 11  32.37  35
2 0 5  33.56  31
2 2 0  54.96  25

***

Diffraction record for Tb13Nd3. The PXRD pattern is simulated, not measured: it uses a cell relaxed with PBE and copper Kα.
No peak broadening, texture or thermal motion is included.

Cell and atoms:
Cell lengths 7.304, 11.447, 12.620 Å; angles 90.00, 90.00, 90.00 degrees
Space group Amm2 (No. 38)
Unique sites:
1 Tb 0.000 0.000 0.000 (multiplicity 2)
2 Tb 0.000 0.000 0.497 (multiplicity 2)
3 Tb 0.000 0.248 0.166 (multiplicity 4)
4 Tb 0.249 0.248 0.416 (multiplicity 8)
5 Tb 0.250 0.000 0.249 (multiplicity 4)
6 Tb 0.500 0.000 0.497 (multiplicity 2)
7 Tb 0.500 0.249 0.166 (multiplicity 4)
8 Nd 0.249 0.000 0.747 (multiplicity 4)
9 Nd 0.500 0.000 0.000 (multiplicity 2)

Principal peaks in the range 2θ from 10° to 90°, sorted by position:
index  2θ (°)  I_rel
0 0 4  28.25  24
0 4 0  31.25  24
2 2 2  32.37  100
4 0 0  50.01  20
2 6 2  56.34  21
4 4 0  60.16  23

***

Diffraction record for Tb4Nd3. The PXRD pattern is simulated, not measured: it uses a cell relaxed with PBE and copper Kα.
No peak broadening, texture or thermal motion is included.

Cell and atoms:
Cell lengths 11.426, 5.108, 8.080 Å; angles 90.00, 98.12, 90.00 degrees
Space group C2/m (No. 12)
Unique sites:
1 Tb 0.072 0.000 0.210 (multiplicity 4)
2 Tb 0.142 0.500 0.930 (multiplicity 4)
3 Nd 0.000 0.500 0.500 (multiplicity 2)
4 Nd 0.214 0.000 0.646 (multiplicity 4)

Principal peaks in the range 2θ from 10° to 90°, sorted by position:
index  2θ (°)  I_rel
1 1 2  30.30  100
4 0 1  35.12  34
0 2 0  35.13  17
4 2 1  50.52  36
7 1 0  60.05  43
7 3 0  82.24  18

***

Diffraction record for Tb2Nd5. The PXRD pattern is simulated, not measured: it uses a cell relaxed with PBE and copper Kα.
No peak broadening, texture or thermal motion is included.

Cell and atoms:
Cell lengths 5.8146, 5.8146, 24.6625 Å; angles 90.00, 90.00, 120.00 degrees
Space group R-3m (No. 166, hexagonal axes)
Unique sites:
1 Tb 0.0000 0.0000 0.1525 (multiplicity 6)
2 Nd 0.0000 0.0000 0.0000 (multiplicity 3)
3 Nd 0.0000 0.0000 0.2928 (multiplicity 6)
4 Nd 0.0000 0.0000 0.4316 (multiplicity 6)

Principal peaks in the range 2θ from 10° to 90°, sorted by position:
index  2θ (°)  I_rel
1 1 0  30.75  100
1 0 7  30.98  90
0 2 7  44.21  34
3 0 0  54.68  20
2 1 7  54.82  36
1 3 7  72.85  15

***

Diffraction record for Tb17Nd2. The PXRD pattern is simulated, not measured: it uses a cell relaxed with PBE and copper Kα.
No peak broadening, texture or thermal motion is included.

Cell and atoms:
Cell lengths 11.2285, 11.2285, 17.6591 Å; angles 90.00, 90.00, 120.00 degrees
Space group R-3m (No. 166, hexagonal axes)
Unique sites:
1 Tb 0.0000 0.0000 0.0948 (multiplicity 6)
2 Tb 0.0000 0.2974 0.0000 (multiplicity 18)
3 Tb 0.0000 0.5000 0.5000 (multiplicity 9)
4 Tb 0.0136 0.5068 0.1362 (multiplicity 18)
5 Nd 0.0000 0.0000 0.3259 (multiplicity 6)

Principal peaks in the range 2θ from 10° to 90°, sorted by position:
index  2θ (°)  I_rel
0 2 4  27.29  32
3 0 0  27.52  29
2 0 5  31.30  60
0 3 3  31.51  100
2 2 0  31.88  59
2 2 3  35.43  71

***

Diffraction record for Tb3NdTe6. The PXRD pattern is simulated, not measured: it uses a cell relaxed with PBE and copper Kα.
No peak broadening, texture or thermal motion is included.

Cell and atoms:
Cell lengths 12.540, 4.402, 12.901 Å; angles 90.00, 109.29, 90.00 degrees
Space group P2_1/m (No. 11)
Unique sites:
1 Tb 0.066 0.250 0.166 (multiplicity 2)
2 Tb 0.182 0.750 0.502 (multiplicity 2)
3 Tb 0.345 0.250 0.918 (multiplicity 2)
4 Nd 0.454 0.250 0.304 (multiplicity 2)
5 Te 0.016 0.250 0.383 (multiplicity 2)
6 Te 0.108 0.250 0.940 (multiplicity 2)
7 Te 0.244 0.750 0.278 (multiplicity 2)
8 Te 0.306 0.750 0.750 (multiplicity 2)
9 Te 0.385 0.250 0.532 (multiplicity 2)
10 Te 0.415 0.750 0.098 (multiplicity 2)

Principal peaks in the range 2θ from 10° to 90°, sorted by position:
index  2θ (°)  I_rel
1 1 1  23.55  38
2 1 1  27.65  100
2 0 -4  28.19  59
3 1 0  30.43  71
4 1 -3  37.24  71
0 2 0  41.01  68

***

Diffraction record for Tb3NdTe6. The PXRD pattern is simulated, not measured: it uses a cell relaxed with PBE and copper Kα.
No peak broadening, texture or thermal motion is included.

Cell and atoms:
Cell lengths 13.914, 8.576, 7.548 Å; angles 90.00, 122.39, 90.00 degrees
Space group C2/m (No. 12)
Unique sites:
1 Tb 0.000 0.000 0.000 (multiplicity 2)
2 Tb 0.249 0.000 0.828 (multiplicity 4)
3 Nd 0.000 0.500 0.500 (multiplicity 2)
4 Te 0.090 0.248 0.845 (multiplicity 8)
5 Te 0.246 0.000 0.427 (multiplicity 4)

Principal peaks in the range 2θ from 10° to 90°, sorted by position:
index  2θ (°)  I_rel
1 1 1  21.73  62
3 1 -1  21.86  64
2 2 -1  25.06  47
4 0 -1  25.72  71
2 2 -2  31.58  72
4 2 0  37.10  100

***

Diffraction record for TbNdTe2. The PXRD pattern is simulated, not measured: it uses a cell relaxed with PBE and copper Kα.
No peak broadening, texture or thermal motion is included.

Cell and atoms:
Cell lengths 5.420, 5.420, 3.836 Å; angles 90.00, 90.00, 90.00 degrees
Space group P4/mmm (No. 123)
Unique sites:
1 Tb 0.000 0.000 0.000 (multiplicity 1)
2 Nd 0.500 0.500 0.000 (multiplicity 1)
3 Te 0.000 0.500 0.500 (multiplicity 2)

Principal peaks in the range 2θ from 10° to 90°, sorted by position:
index  2θ (°)  I_rel
2 0 0  33.05  100
2 2 0  47.43  18
3 1 1  59.02  38
4 0 0  69.33  12
4 2 0  78.98  16
4 0 2  88.31  4

***

Diffraction record for TbNd2ThTe5. The PXRD pattern is simulated, not measured: it uses a cell relaxed with PBE and copper Kα.
No peak broadening, texture or thermal motion is included.

Cell and atoms:
Cell lengths 5.528, 5.528, 11.865 Å; angles 90.00, 90.00, 90.00 degrees
Space group P4/mmm (No. 123)
Unique sites:
1 Tb 0.000 0.000 0.000 (multiplicity 1)
2 Nd 0.500 0.500 0.154 (multiplicity 2)
3 Th 0.000 0.000 0.500 (multiplicity 1)
4 Te 0.000 0.000 0.253 (multiplicity 2)
5 Te 0.000 0.500 0.000 (multiplicity 2)
6 Te 0.500 0.500 0.500 (multiplicity 1)

Principal peaks in the range 2θ from 10° to 90°, sorted by position:
index  2θ (°)  I_rel
1 1 0  22.75  92
1 1 3  32.20  60
2 0 0  32.39  100
1 0 4  34.31  54
2 2 0  46.46  37
2 1 4  47.90  42